Er3Cu4Sn4: theoretical X-ray powder pattern (Cu Ka), based on a crystal structure in the Materials Project, relaxed with GGA-PBE.
Intensities are scaled so that the largest is 100.

Atomic structure:
Lattice parameters (Å, degrees): 16.164 4.453 6.936 90.00 115.01 90.00
Space group C2/m (No. 12)
Unique sites:
Er (0.000, 0.000, 0.000)
Er (0.130, 0.000, 0.640)
Cu (0.163, 0.500, 0.980)
Cu (0.179, 0.500, 0.369)
Sn (0.007, 0.500, 0.303)
Sn (0.217, 0.000, 0.206)

Top 12 peaks for 5° ≤ 2θ ≤ 70°, by angle:
hkl 4 0 1, 2θ = 33.1°, rel. 9; hkl 3 1 -2, 2θ = 33.3°, rel. 100; hkl 3 1 1, 2θ = 34.2°, rel. 43; hkl 5 1 -1, 2θ = 34.3°, rel. 43; hkl 6 0 0, 2θ = 36.8°, rel. 15; hkl 0 2 0, 2θ = 40.5°, rel. 36; hkl 0 0 3, 2θ = 43.2°, rel. 10; hkl 6 0 -3, 2θ = 43.4°, rel. 10; hkl 3 1 2, 2θ = 45.2°, rel. 14; hkl 6 2 -1, 2θ = 53.4°, rel. 9; hkl 3 3 -2, 2θ = 69.1°, rel. 10; hkl 3 3 1, 2θ = 69.7°, rel. 11

Dy2Ti3Si4: theoretical X-ray powder pattern (Cu Ka), based on a crystal structure in the Materials Project, relaxed with GGA-PBE.
Intensities are scaled so that the largest is 100.

Atomic structure:
Lattice parameters (Å, degrees): 7.051 7.051 12.967 90.00 90.00 90.00
Space group P4_12_12 (No. 92)
Unique sites:
Dy (0.003, 0.340, 0.033)
Ti (0.008, 0.152, 0.623)
Ti (0.173, 0.827, 0.750)
Si (0.047, 0.709, 0.935)
Si (0.130, 0.202, 0.815)

Top 12 peaks for 5° ≤ 2θ ≤ 70°, by angle:
hkl 1 1 0, 2θ = 17.8°, rel. 26; hkl 1 1 1, 2θ = 19.1°, rel. 41; hkl 2 1 1, 2θ = 29.1°, rel. 31; hkl 1 0 4, 2θ = 30.3°, rel. 32; hkl 2 1 2, 2θ = 31.6°, rel. 42; hkl 1 1 4, 2θ = 33.0°, rel. 26; hkl 2 1 3, 2θ = 35.2°, rel. 100; hkl 2 2 1, 2θ = 36.7°, rel. 68; hkl 1 1 5, 2θ = 39.2°, rel. 65; hkl 3 0 2, 2θ = 40.8°, rel. 87; hkl 4 1 3, 2θ = 58.0°, rel. 20; hkl 3 1 6, 2θ = 59.6°, rel. 32

MgTi2Bi4O10: theoretical X-ray powder pattern (Cu Ka), based on a crystal structure in the Materials Project, relaxed with GGA-PBE.
Intensities are scaled so that the largest is 100.

Atomic structure:
Lattice parameters (Å, degrees): 3.969 10.325 6.775 90.00 106.92 90.00
Space group Pm (No. 6)
Unique sites:
Mg (0.000, 0.000, 0.000)
Ti (0.347, 0.000, 0.695)
Ti (0.689, 0.500, 0.393)
Bi (0.381, 0.326, 0.772)
Bi (0.663, 0.175, 0.332)
O (0.235, 0.500, 0.476)
O (0.262, 0.165, 0.533)
O (0.462, 0.122, 0.937)
O (0.593, 0.368, 0.194)
O (0.803, 0.343, 0.615)
O (0.836, 0.000, 0.682)

Top 12 peaks for 5° ≤ 2θ ≤ 70°, by angle:
hkl 0 0 1, 2θ = 13.7°, rel. 21; hkl 0 1 1, 2θ = 16.1°, rel. 27; hkl 0 2 0, 2θ = 17.2°, rel. 27; hkl 1 0 -1, 2θ = 23.4°, rel. 77; hkl 0 0 2, 2θ = 27.5°, rel. 38; hkl 1 2 -1, 2θ = 29.2°, rel. 23; hkl 0 3 1, 2θ = 29.4°, rel. 100; hkl 1 0 1, 2θ = 30.6°, rel. 67; hkl 1 3 0, 2θ = 35.2°, rel. 64; hkl 2 0 -1, 2θ = 45.7°, rel. 23; hkl 1 3 2, 2θ = 49.7°, rel. 54; hkl 2 3 -2, 2θ = 55.3°, rel. 37

CuTeO4: theoretical X-ray powder pattern (Cu Ka), based on a crystal structure in the Materials Project, relaxed with GGA-PBE.
Intensities are scaled so that the largest is 100.

Atomic structure:
Lattice parameters (Å, degrees): 4.783 10.465 7.316 90.00 130.04 90.00
Space group P2_1/c (No. 14)
Unique sites:
Cu (0.000, 0.000, 0.000)
Cu (0.000, 0.000, 0.500)
Te (0.262, 0.249, 0.294)
O (0.066, 0.082, 0.271)
O (0.242, 0.680, 0.967)
O (0.243, 0.169, 0.032)
O (0.419, 0.093, 0.759)

Top 12 peaks for 5° ≤ 2θ ≤ 70°, by angle:
hkl 0 2 0, 2θ = 16.9°, rel. 28; hkl 1 1 0, 2θ = 25.8°, rel. 100; hkl 1 1 -2, 2θ = 26.1°, rel. 79; hkl 1 2 0, 2θ = 29.8°, rel. 26; hkl 1 2 -2, 2θ = 30.1°, rel. 59; hkl 0 4 0, 2θ = 34.3°, rel. 37; hkl 1 3 0, 2θ = 35.5°, rel. 28; hkl 1 3 -2, 2θ = 35.8°, rel. 25; hkl 0 2 2, 2θ = 36.4°, rel. 47; hkl 2 4 -2, 2θ = 51.8°, rel. 34; hkl 2 2 0, 2θ = 53.0°, rel. 36; hkl 2 2 -4, 2θ = 53.7°, rel. 23